Starting from a structure optimized by DFT (PBE), the powder X-ray diffraction pattern of NdSmB2Ir2O2 was simulated for a wavelength of 1.5418 Å.
Neutral-atom scattering factors, no anomalous dispersion.

Largest 10 diffraction maxima, low angle first, 2θ from 10° to 90°:
11.88°, I = 76; 26.09°, I = 43; 35.15°, I = 100; 36.19°, I = 41; 41.12°, I = 87; 47.29°, I = 43; 54.80°, I = 21; 60.97°, I = 36; 72.35°, I = 19; 83.69°, I = 23

Cell and atoms:
abc: 3.844 3.844 7.447
angles: 90.00 90.00 90.00
Fractional positions:
Nd1 0.000 0.000 0.000
Sm1 0.500 0.500 0.367
B1 0.000 0.000 0.534
B2 0.500 0.500 0.830
Ir1 0.000 0.500 0.681
Ir2 0.500 0.000 0.681
O1 0.000 0.000 0.330
O2 0.500 0.500 0.036